# 1
The following is a computed powder diffractogram of Pr3PuN6. It was derived from a crystal structure in Alexandria, relaxed with PBE, using Cu Kα (weighted mean of Kα1 and Kα2).
Lines closer than 0.1° are merged.

abc: 10.0047 10.0047 11.7842
angles: 90.00 90.00 120.00
Space group R-3 (No. 148, hexagonal axes)
Symmetry-distinct sites (fractional):
Pr  0.0368  0.2659  0.2118 x18
Pu  0.0000  0.0000  0.0000 x3
Pu  0.0000  0.0000  0.5000 x3
N  0.0259  0.1735  0.8918 x18
N  0.0310  0.1931  0.4112 x18

Top 12 peaks for 2θ = 15–90°, in order of rising 2θ:
2θ/deg  intensity  (hkl)
18.21  24  0 1 2
22.64  23  0 0 3
25.52  59  2 0 2
28.28  72  2 1 1
28.90  38  1 1 3
30.96  32  3 0 0
31.25  100  3 -2 2
32.09  29  1 0 4
41.22  33  2 1 4
48.13  36  1 4 0
48.91  25  1 3 4
49.88  25  2 -1 6



# 2
The following is a computed powder diffractogram of ReN2. It was derived from a crystal structure in Alexandria, relaxed with PBE, using Cu Kα (weighted mean of Kα1 and Kα2).
Lines closer than 0.1° are merged.

abc: 4.2448 2.8897 5.1033
angles: 90.00 113.10 90.00
Space group P2_1/m (No. 11)
Symmetry-distinct sites (fractional):
Re  0.2056  0.2500  0.2167 x2
N  0.1555  0.2500  0.7960 x2
N  0.3894  0.2500  0.6712 x2

Top 12 peaks for 2θ = 15–90°, in order of rising 2θ:
2θ/deg  intensity  (hkl)
23.22  100  1 0 -1
35.19  22  1 0 1
36.51  52  0 1 1
38.35  33  0 0 2
38.77  71  1 1 0
46.52  14  2 0 0
47.50  23  2 0 -2
48.27  33  1 1 -2
53.59  23  2 1 -1
53.90  12  1 0 -3
62.47  12  1 1 2
68.56  14  2 1 -3



# 3
The following is a computed powder diffractogram of Np2VSi2Ru5. It was derived from a crystal structure in Alexandria, relaxed with PBE, using Cu Kα (weighted mean of Kα1 and Kα2).
Lines closer than 0.1° are merged.

abc: 10.1613 10.1613 3.0689
angles: 90.00 90.00 90.00
Space group P4/mbm (No. 127)
Symmetry-distinct sites (fractional):
Np  0.1754  0.3246  0.0000 x4
V  0.0000  0.0000  0.0000 x2
Si  0.1290  0.6290  0.0000 x4
Ru  0.0000  0.5000  0.5000 x2
Ru  0.0579  0.7988  0.5000 x8

Top 12 peaks for 2θ = 15–90°, in order of rising 2θ:
2θ/deg  intensity  (hkl)
19.53  42  2 1 0
34.13  28  2 0 1
35.29  74  2 1 1
36.46  100  4 1 0
37.55  51  3 3 0
38.58  26  2 2 1
40.65  91  3 1 1
43.60  23  3 2 1
60.32  16  0 0 2
65.59  17  6 2 1
66.31  21  5 4 1
72.59  32  4 1 2



# 4
The following is a computed powder diffractogram of Li2GeIr2. It was derived from a crystal structure in Alexandria, relaxed with PBE, using Cu Kα (weighted mean of Kα1 and Kα2).
Lines closer than 0.1° are merged.

abc: 7.2091 4.1642 5.0489
angles: 90.00 118.43 90.00
Space group C2/m (No. 12)
Symmetry-distinct sites (fractional):
Li  0.1915  0.0000  0.0727 x4
Ge  0.0000  0.0000  0.5000 x2
Ir  0.1008  0.5000  0.2974 x4

Top 12 peaks for 2θ = 15–90°, in order of rising 2θ:
2θ/deg  intensity  (hkl)
20.00  33  0 0 1
25.60  89  2 0 -1
28.14  49  1 1 -1
36.74  34  1 1 1
42.18  100  2 0 1
43.47  92  0 2 0
48.29  20  3 1 0
61.02  17  3 1 -3
62.18  32  2 2 1
76.20  18  1 1 3
78.91  32  5 1 0
79.80  16  3 3 -1